1.
Theoretical X-ray diffraction stick pattern
Compound: K2NaRuF6
Radiation: Cu Ka
Structure: a PBE-relaxed structure
No peak broadening, texture or thermal motion is included.

Structural model:
Cell: 6.0352 6.0352 6.0352 Å, 60.00 60.00 60.00°
Fractional coordinates of all 10 atoms:
K 0.2500 0.2500 0.2500
K 0.7500 0.7500 0.7500
Na 0.0000 0.0000 0.0000
Ru 0.5000 0.5000 0.5000
F 0.2631 0.2631 0.7369
F 0.2631 0.7369 0.2631
F 0.2631 0.7369 0.7369
F 0.7369 0.2631 0.2631
F 0.7369 0.2631 0.7369
F 0.7369 0.7369 0.2631

The 6 most intense peaks (10° ≤ 2θ ≤ 90°), in order of rising 2θ:
Position (°2θ)	d/Å	intensity
18.00	4.928	62
20.82	4.268	31
29.60	3.018	100
42.36	2.134	64
52.53	1.742	37
61.45	1.509	36



2.
Theoretical X-ray diffraction stick pattern
Compound: KNa2SbF6
Radiation: Cu Ka
Structure: a PBE-relaxed structure
No peak broadening, texture or thermal motion is included.

Structural model:
Cell: 6.6260 6.6260 6.6260 Å, 60.00 60.00 60.00°
Fractional coordinates of all 10 atoms:
K 0.0000 0.0000 0.0000
Na 0.2500 0.2500 0.2500
Na 0.7500 0.7500 0.7500
Sb 0.5000 0.5000 0.5000
F 0.2670 0.2670 0.7330
F 0.2670 0.7330 0.2670
F 0.2670 0.7330 0.7330
F 0.7330 0.2670 0.2670
F 0.7330 0.2670 0.7330
F 0.7330 0.7330 0.2670

The 6 most intense peaks (10° ≤ 2θ ≤ 90°), in order of rising 2θ:
Position (°2θ)	d/Å	intensity
16.38	5.410	62
18.94	4.685	97
26.91	3.313	100
38.43	2.343	67
47.54	1.913	40
55.47	1.656	40



3.
Theoretical X-ray diffraction stick pattern
Compound: K2NaScF6
Radiation: Cu Ka
Structure: a PBE-relaxed structure
No peak broadening, texture or thermal motion is included.

Structural model:
Cell: 6.0880 6.0880 6.0880 Å, 60.00 60.00 60.00°
Fractional coordinates of all 10 atoms:
K 0.2500 0.2500 0.2500
K 0.7500 0.7500 0.7500
Na 0.0000 0.0000 0.0000
Sc 0.5000 0.5000 0.5000
F 0.2642 0.2642 0.7358
F 0.2642 0.7358 0.2642
F 0.2642 0.7358 0.7358
F 0.7358 0.2642 0.2642
F 0.7358 0.2642 0.7358
F 0.7358 0.7358 0.2642

The 6 most intense peaks (10° ≤ 2θ ≤ 90°), in order of rising 2θ:
Position (°2θ)	d/Å	intensity
17.84	4.971	19
29.34	3.044	100
36.14	2.485	49
41.97	2.152	97
52.04	1.757	35
60.86	1.522	52



4.
Theoretical X-ray diffraction stick pattern
Compound: KNa2ScF6
Radiation: Cu Ka
Structure: a PBE-relaxed structure
No peak broadening, texture or thermal motion is included.

Structural model:
Cell: 6.3594 6.3594 6.3594 Å, 60.00 60.00 60.00°
Fractional coordinates of all 10 atoms:
K 0.0000 0.0000 0.0000
Na 0.2500 0.2500 0.2500
Na 0.7500 0.7500 0.7500
Sc 0.5000 0.5000 0.5000
F 0.2752 0.2752 0.7248
F 0.2752 0.7248 0.2752
F 0.2752 0.7248 0.7248
F 0.7248 0.2752 0.2752
F 0.7248 0.2752 0.7248
F 0.7248 0.7248 0.2752

The 6 most intense peaks (10° ≤ 2θ ≤ 90°), in order of rising 2θ:
Position (°2θ)	d/Å	intensity
19.74	4.497	76
28.06	3.180	90
40.10	2.248	100
45.08	2.011	21
49.66	1.836	30
58.01	1.590	53



5.
Theoretical X-ray diffraction stick pattern
Compound: KNaSiF6
Radiation: Cu Ka
Structure: a PBE-relaxed structure
No peak broadening, texture or thermal motion is included.

Structural model:
Cell: 9.5208 5.5464 9.8992 Å, 90.00 90.00 90.00°
Fractional coordinates of all 36 atoms:
K 0.0140 0.2500 0.1761
K 0.4860 0.7500 0.6761
K 0.5140 0.2500 0.3239
K 0.9860 0.7500 0.8239
Na 0.1268 0.7500 0.4470
Na 0.3732 0.2500 0.9470
Na 0.6268 0.7500 0.0530
Na 0.8732 0.2500 0.5530
Si 0.2282 0.2500 0.5780
Si 0.2718 0.7500 0.0780
Si 0.7282 0.2500 0.9220
Si 0.7718 0.7500 0.4220
F 0.1208 0.2500 0.4363
F 0.1227 0.0306 0.6454
F 0.1227 0.4694 0.6454
F 0.1657 0.7500 0.2171
F 0.1712 0.5294 0.0039
F 0.1712 0.9706 0.0039
F 0.3288 0.0294 0.5039
F 0.3288 0.4706 0.5039
F 0.3343 0.2500 0.7171
F 0.3773 0.5306 0.1454
F 0.3773 0.9694 0.1454
F 0.3792 0.7500 0.9363
F 0.6208 0.2500 0.0637
F 0.6227 0.0306 0.8546
F 0.6227 0.4694 0.8546
F 0.6657 0.7500 0.2829
F 0.6712 0.5294 0.4961
F 0.6712 0.9706 0.4961
F 0.8288 0.0294 0.9961
F 0.8288 0.4706 0.9961
F 0.8343 0.2500 0.7829
F 0.8773 0.5306 0.3546
F 0.8773 0.9694 0.3546
F 0.8792 0.7500 0.5637

The 6 most intense peaks (10° ≤ 2θ ≤ 90°), in order of rising 2θ:
Position (°2θ)	d/Å	intensity
20.22	4.392	51
20.59	4.314	62
25.92	3.437	81
26.26	3.393	100
43.68	2.072	65
44.34	2.043	41



6.
Theoretical X-ray diffraction stick pattern
Compound: KNa2TaF6
Radiation: Cu Ka
Structure: a PBE-relaxed structure
No peak broadening, texture or thermal motion is included.

Structural model:
Cell: 6.5193 6.5193 6.5193 Å, 60.00 60.00 60.00°
Fractional coordinates of all 10 atoms:
K 0.0000 0.0000 0.0000
Na 0.2500 0.2500 0.2500
Na 0.7500 0.7500 0.7500
Ta 0.5000 0.5000 0.5000
F 0.2803 0.2803 0.7197
F 0.2803 0.7197 0.2803
F 0.2803 0.7197 0.7197
F 0.7197 0.2803 0.2803
F 0.7197 0.2803 0.7197
F 0.7197 0.7197 0.2803

The 6 most intense peaks (10° ≤ 2θ ≤ 90°), in order of rising 2θ:
Position (°2θ)	d/Å	intensity
16.65	5.323	100
19.25	4.610	100
27.36	3.260	100
32.20	2.780	41
39.08	2.305	49
43.92	2.062	41



7.
Theoretical X-ray diffraction stick pattern
Compound: K2NaTaF6
Radiation: Cu Ka
Structure: a PBE-relaxed structure
No peak broadening, texture or thermal motion is included.

Structural model:
Cell: 6.1511 6.1511 6.1511 Å, 60.00 60.00 60.00°
Fractional coordinates of all 10 atoms:
K 0.2500 0.2500 0.2500
K 0.7500 0.7500 0.7500
Na 0.0000 0.0000 0.0000
Ta 0.5000 0.5000 0.5000
F 0.2595 0.2595 0.7405
F 0.2595 0.7405 0.2595
F 0.2595 0.7405 0.7405
F 0.7405 0.2595 0.2595
F 0.7405 0.2595 0.7405
F 0.7405 0.7405 0.2595

The 6 most intense peaks (10° ≤ 2θ ≤ 90°), in order of rising 2θ:
Position (°2θ)	d/Å	intensity
17.66	5.022	94
20.42	4.350	50
29.03	3.076	100
34.19	2.623	49
41.52	2.175	49
51.46	1.776	40



8.
Theoretical X-ray diffraction stick pattern
Compound: KNa2TiF6
Radiation: Cu Ka
Structure: a PBE-relaxed structure
No peak broadening, texture or thermal motion is included.

Structural model:
Cell: 6.2939 6.2939 6.2939 Å, 60.00 60.00 60.00°
Fractional coordinates of all 10 atoms:
K 0.0000 0.0000 0.0000
Na 0.2500 0.2500 0.2500
Na 0.7500 0.7500 0.7500
Ti 0.5000 0.5000 0.5000
F 0.2788 0.2788 0.7212
F 0.2788 0.7212 0.2788
F 0.2788 0.7212 0.7212
F 0.7212 0.2788 0.2788
F 0.7212 0.2788 0.7212
F 0.7212 0.7212 0.2788

The 6 most intense peaks (10° ≤ 2θ ≤ 90°), in order of rising 2θ:
Position (°2θ)	d/Å	intensity
19.95	4.450	83
28.36	3.147	98
40.54	2.225	100
45.58	1.990	22
50.21	1.817	31
58.67	1.573	52



9.
Theoretical X-ray diffraction stick pattern
Compound: K2NaYF6
Radiation: Cu Ka
Structure: a PBE-relaxed structure
No peak broadening, texture or thermal motion is included.

Structural model:
Cell: 6.3050 6.3050 6.3050 Å, 60.00 60.00 60.00°
Fractional coordinates of all 10 atoms:
K 0.2500 0.2500 0.2500
K 0.7500 0.7500 0.7500
Na 0.0000 0.0000 0.0000
Y 0.5000 0.5000 0.5000
F 0.2556 0.2556 0.7444
F 0.2556 0.7444 0.2556
F 0.2556 0.7444 0.7444
F 0.7444 0.2556 0.2556
F 0.7444 0.2556 0.7444
F 0.7444 0.7444 0.2556

The 6 most intense peaks (10° ≤ 2θ ≤ 90°), in order of rising 2θ:
Position (°2θ)	d/Å	intensity
17.23	5.148	46
19.92	4.458	26
28.31	3.152	100
40.47	2.229	72
50.12	1.820	38
58.56	1.576	41



10.
Theoretical X-ray diffraction stick pattern
Compound: K3Nb8O10F4
Radiation: Cu Ka
Structure: a PBE-relaxed structure
No peak broadening, texture or thermal motion is included.

Structural model:
Cell: 4.1961 4.1961 21.9577 Å, 90.00 90.00 90.00°
Fractional coordinates of all 25 atoms:
K 0.0000 0.0000 0.0000
K 0.0000 0.0000 0.3823
K 0.5000 0.5000 0.5099
Nb 0.0000 0.0000 0.6039
Nb 0.0000 0.0000 0.7959
Nb 0.0000 0.5000 0.1959
Nb 0.0000 0.5000 0.6964
Nb 0.5000 0.0000 0.1959
Nb 0.5000 0.0000 0.6964
Nb 0.5000 0.5000 0.1020
Nb 0.5000 0.5000 0.2886
O 0.0000 0.0000 0.1962
O 0.0000 0.5000 0.0993
O 0.0000 0.5000 0.2934
O 0.0000 0.5000 0.5986
O 0.0000 0.5000 0.7913
O 0.5000 0.0000 0.0993
O 0.5000 0.0000 0.2934
O 0.5000 0.0000 0.5986
O 0.5000 0.0000 0.7913
O 0.5000 0.5000 0.6962
F 0.0000 0.0000 0.5023
F 0.0000 0.0000 0.8870
F 0.5000 0.5000 0.0062
F 0.5000 0.5000 0.3902

The 6 most intense peaks (10° ≤ 2θ ≤ 90°), in order of rising 2θ:
Position (°2θ)	d/Å	intensity
21.56	4.122	74
29.44	3.034	94
31.23	2.864	65
34.36	2.610	79
43.12	2.098	100
61.09	1.517	57



11.
Theoretical X-ray diffraction stick pattern
Compound: K5Nb16O20F8
Radiation: Cu Ka
Structure: a PBE-relaxed structure
No peak broadening, texture or thermal motion is included.

Structural model:
Cell: 22.5541 22.5541 22.5541 Å, 164.93 164.93 21.37°
Fractional coordinates of all 49 atoms:
K 0.0000 0.0000 0.0000
K 0.2452 0.7452 0.5000
K 0.4396 0.9396 0.5000
K 0.7452 0.2452 0.5000
K 0.9396 0.4396 0.5000
Nb 0.0461 0.5461 0.5000
Nb 0.0933 0.0933 0.4997
Nb 0.0933 0.5936 0.0000
Nb 0.1433 0.6433 0.5000
Nb 0.2969 0.2969 0.0000
Nb 0.3436 0.3436 0.5004
Nb 0.3436 0.8432 0.0000
Nb 0.3898 0.3898 0.0000
Nb 0.5461 0.0461 0.5000
Nb 0.5936 0.0933 0.0000
Nb 0.5936 0.5936 0.5003
Nb 0.6433 0.1433 0.5000
Nb 0.7969 0.7969 0.0000
Nb 0.8432 0.3436 0.0000
Nb 0.8432 0.8432 0.4996
Nb 0.8897 0.8897 0.0000
O 0.0456 0.0456 0.5000
O 0.0456 0.5456 0.0000
O 0.0939 0.0939 0.0000
O 0.1414 0.1414 0.4998
O 0.1414 0.6417 0.0000
O 0.2923 0.2923 0.4938
O 0.2923 0.7985 0.0000
O 0.3435 0.8435 0.5000
O 0.3909 0.3909 0.4998
O 0.3909 0.8911 0.0000
O 0.5456 0.0456 0.0000
O 0.5456 0.5456 0.5000
O 0.5936 0.5936 0.0000
O 0.6417 0.1414 0.0000
O 0.6417 0.6417 0.5002
O 0.7985 0.2923 0.0000
O 0.7985 0.7985 0.5062
O 0.8435 0.3435 0.5000
O 0.8911 0.3909 0.0000
O 0.8911 0.8911 0.5002
F 0.1885 0.6885 0.5000
F 0.2494 0.2494 0.0000
F 0.4377 0.4377 0.0000
F 0.4982 0.9982 0.5000
F 0.6885 0.1885 0.5000
F 0.7494 0.7494 0.0000
F 0.9392 0.9392 0.0000
F 0.9982 0.4982 0.5000

The 6 most intense peaks (10° ≤ 2θ ≤ 90°), in order of rising 2θ:
Position (°2θ)	d/Å	intensity
21.63	4.109	81
29.36	3.042	93
31.31	2.857	64
34.38	2.609	84
43.27	2.091	100
60.92	1.521	60